Sr3Zn2Pd3: simulated XRD peak list (Cu Kα), based on the GGA-PBE geometry in Alexandria.

Cell and atoms:
```
Sr3Zn2Pd3
1.0
8.2761 0.0000 0.0000
0.0000 15.4936 0.0000
0.0000 0.0000 6.1422
Sr Zn Pd
12 8 12
direct
0.0356 0.1046 0.1389
0.0356 0.3954 0.1389
0.1750 0.2500 0.6090
0.3250 0.7500 0.1090
0.4644 0.6046 0.6389
0.4644 0.8954 0.6389
0.5356 0.1046 0.3611
0.5356 0.3954 0.3611
0.6750 0.2500 0.8910
0.8250 0.7500 0.3910
0.9644 0.6046 0.8611
0.9644 0.8954 0.8611
0.1215 0.6003 0.3721
0.1215 0.8997 0.3721
0.3785 0.1003 0.8721
0.3785 0.3997 0.8721
0.6215 0.6003 0.1279
0.6215 0.8997 0.1279
0.8785 0.1003 0.6279
0.8785 0.3997 0.6279
0.1684 0.0391 0.6062
0.1684 0.4609 0.6062
0.1748 0.7500 0.5808
0.3252 0.2500 0.0808
0.3316 0.5391 0.1062
0.3316 0.9609 0.1062
0.6684 0.0391 0.8938
0.6684 0.4609 0.8938
0.6748 0.7500 0.9192
0.8252 0.2500 0.4192
0.8316 0.5391 0.3938
0.8316 0.9609 0.3938
```

The 6 most intense peaks (2θ = 10–90°), by angle:
| d/Å | 2θ (°) | I (rel.) | h k l |
| --- | --- | --- | --- |
| 2.879 | 31.1 | 25.9 | 1 0 2 |
| 2.829 | 31.6 | 53.6 | 2 4 0 |
| 2.582 | 34.7 | 20.5 | 0 6 0 |
| 2.569 | 34.9 | 38.7 | 2 4 1 |
| 2.516 | 35.7 | 100.0 | 3 0 1 |
| 2.311 | 39.0 | 32.9 | 1 4 2 |